Entry 1:
Structure and computed powder X-ray diffraction pattern of LaTb2SmDy5 (a DFT-relaxed cell (GGA-PBE, Alexandria); Cu Ka).
No peak broadening, texture or thermal motion is included.

Crystal structure
```
data_LaTb2SmDy5
_space_group_name_H-M_alt 'I 4/m c m'
_space_group_IT_number 140
_space_group_name_Hall '-I 4 2c'
_cell_length_a 8.835
_cell_length_b 8.835
_cell_length_c 15.224
_cell_angle_alpha 90.00
_cell_angle_beta 90.00
_cell_angle_gamma 90.00
loop_
_atom_site_label
_atom_site_fract_x
_atom_site_fract_y
_atom_site_fract_z
La1 0.000 0.000 0.250
Tb1 0.115 0.385 0.000
Sm1 0.000 0.500 0.250
Dy1 0.000 0.000 0.000
Dy2 0.205 0.295 0.367
```

Principal peaks in the range 5° ≤ 2θ ≤ 70°, by angle:
- 3.120 Å, I 100, (2 2 0)
- 2.884 Å, I 100, (2 0 4)
- 2.419 Å, I 20, (3 2 1)
- 2.122 Å, I 23, (4 0 2)
- 1.753 Å, I 22, (4 2 4)
- 1.626 Å, I 21, (2 2 8)



Entry 2:
Structure and computed powder X-ray diffraction pattern of BaInPS6 (a DFT-relaxed cell (GGA-PBE, Alexandria); Cu Ka).
No peak broadening, texture or thermal motion is included.

Crystal structure
```
data_BaInPS6
_space_group_name_H-M_alt 'P 3 1 2'
_space_group_IT_number 149
_space_group_name_Hall 'P 3 2'
_cell_length_a 6.3390
_cell_length_b 6.3390
_cell_length_c 6.8827
_cell_angle_alpha 90.00
_cell_angle_beta 90.00
_cell_angle_gamma 120.00
loop_
_atom_site_label
_atom_site_fract_x
_atom_site_fract_y
_atom_site_fract_z
Ba1 0.0000 0.0000 0.0000
In1 0.3333 0.6667 0.5000
P1 0.6667 0.3333 0.5000
S1 0.4042 0.0468 0.7007
```

Principal peaks in the range 5° ≤ 2θ ≤ 70°, by angle:
- 4.292 Å, I 100, (1 0 1)
- 3.169 Å, I 17, (1 1 0)
- 2.879 Å, I 15, (1 1 1)
- 2.550 Å, I 21, (2 0 1)
- 2.331 Å, I 49, (2 -1 2)
- 1.987 Å, I 28, (3 -1 1)



Entry 3:
Structure and computed powder X-ray diffraction pattern of Pm3Zn8Ir3 (a DFT-relaxed cell (GGA-PBE, Alexandria); Cu Ka).
No peak broadening, texture or thermal motion is included.

Crystal structure
```
data_Pm3Zn8Ir3
_space_group_name_H-M_alt 'I m m m'
_space_group_IT_number 71
_space_group_name_Hall '-I 2 2'
_cell_length_a 4.235
_cell_length_b 9.531
_cell_length_c 12.887
_cell_angle_alpha 90.00
_cell_angle_beta 90.00
_cell_angle_gamma 90.00
loop_
_atom_site_label
_atom_site_fract_x
_atom_site_fract_y
_atom_site_fract_z
Pm1 0.000 0.000 0.000
Pm2 0.000 0.000 0.336
Zn1 0.000 0.275 0.121
Zn2 0.000 0.361 0.324
Ir1 0.000 0.228 0.500
Ir2 0.000 0.500 0.000
```

Principal peaks in the range 5° ≤ 2θ ≤ 70°, by angle:
- 7.663 Å, I 18, (0 1 1)
- 6.444 Å, I 29, (0 0 2)
- 2.549 Å, I 100, (1 2 3)
- 2.148 Å, I 16, (0 0 6)
- 2.118 Å, I 26, (2 0 0)
- 1.999 Å, I 25, (1 2 5)



Entry 4:
Structure and computed powder X-ray diffraction pattern of La3Pm4Y3 (a DFT-relaxed cell (GGA-PBE, Alexandria); Cu Ka).
No peak broadening, texture or thermal motion is included.

Crystal structure
```
data_La3Pm4Y3
_space_group_name_H-M_alt 'A m m 2'
_space_group_IT_number 38
_space_group_name_Hall 'A 2 -2'
_cell_length_a 3.849
_cell_length_b 13.608
_cell_length_c 13.511
_cell_angle_alpha 90.00
_cell_angle_beta 90.00
_cell_angle_gamma 90.00
loop_
_atom_site_label
_atom_site_fract_x
_atom_site_fract_y
_atom_site_fract_z
La1 0.000 0.000 0.000
La2 0.500 0.245 0.419
Pm1 0.500 0.000 0.544
Pm2 0.500 0.000 0.796
Pm3 0.500 0.128 0.173
Y1 0.000 0.000 0.341
Y2 0.000 0.170 0.670
```

Principal peaks in the range 5° ≤ 2θ ≤ 70°, by angle:
- 3.039 Å, I 33, (0 4 2)
- 3.025 Å, I 33, (0 2 4)
- 3.002 Å, I 25, (1 2 2)
- 2.864 Å, I 100, (1 1 3)
- 1.925 Å, I 12, (2 0 0)
- 1.625 Å, I 21, (2 4 2)



Entry 5:
Structure and computed powder X-ray diffraction pattern of Ac3Ga8Pt3 (a DFT-relaxed cell (GGA-PBE, Alexandria); Cu Ka).
No peak broadening, texture or thermal motion is included.

Crystal structure
```
data_Ac3Ga8Pt3
_space_group_name_H-M_alt 'C 1 2/m 1'
_space_group_IT_number 12
_space_group_name_Hall '-C 2y'
_cell_length_a 16.502
_cell_length_b 4.619
_cell_length_c 9.291
_cell_angle_alpha 90.00
_cell_angle_beta 123.27
_cell_angle_gamma 90.00
loop_
_atom_site_label
_atom_site_fract_x
_atom_site_fract_y
_atom_site_fract_z
Ac1 0.000 0.000 0.000
Ac2 0.209 0.500 0.699
Ga1 0.006 0.500 0.683
Ga2 0.135 0.000 0.423
Ga3 0.153 0.000 0.871
Ga4 0.154 0.500 0.289
Pt1 0.000 0.000 0.500
Pt2 0.150 0.500 0.004
```

Principal peaks in the range 5° ≤ 2θ ≤ 70°, by angle:
- 3.259 Å, I 77, (3 1 0)
- 2.747 Å, I 40, (6 0 -2)
- 2.683 Å, I 61, (1 1 2)
- 2.655 Å, I 100, (5 1 -2)
- 2.572 Å, I 59, (3 1 -3)
- 2.309 Å, I 76, (0 2 0)



Entry 6:
Structure and computed powder X-ray diffraction pattern of B7C5 (a DFT-relaxed cell (GGA-PBE, Alexandria); Cu Ka).
No peak broadening, texture or thermal motion is included.

Crystal structure
```
data_B7C5
_space_group_name_H-M_alt 'C 1 m 1'
_space_group_IT_number 8
_space_group_name_Hall 'C -2y'
_cell_length_a 13.933
_cell_length_b 2.700
_cell_length_c 4.717
_cell_angle_alpha 90.00
_cell_angle_beta 106.89
_cell_angle_gamma 90.00
loop_
_atom_site_label
_atom_site_fract_x
_atom_site_fract_y
_atom_site_fract_z
B1 0.000 0.000 0.000
B2 0.006 0.000 0.401
B3 0.117 0.500 0.654
B4 0.123 0.000 0.266
B5 0.170 0.000 0.939
B6 0.305 0.500 0.200
B7 0.337 0.000 0.744
C1 0.180 0.500 0.418
C2 0.288 0.000 0.024
C3 0.289 0.500 0.520
C4 0.461 0.000 0.830
C5 0.494 0.000 0.548
```

Principal peaks in the range 5° ≤ 2θ ≤ 70°, by angle:
- 3.333 Å, I 20, (4 0 0)
- 3.317 Å, I 29, (2 0 1)
- 2.227 Å, I 100, (1 1 1)
- 2.222 Å, I 50, (6 0 0)
- 2.187 Å, I 45, (4 0 -2)
- 1.357 Å, I 23, (3 1 -3)



Entry 7:
Structure and computed powder X-ray diffraction pattern of PrSm10Sc4 (a DFT-relaxed cell (GGA-PBE, Alexandria); Cu Ka).
No peak broadening, texture or thermal motion is included.

Crystal structure
```
data_PrSm10Sc4
_space_group_name_H-M_alt 'I 4/m'
_space_group_IT_number 87
_space_group_name_Hall '-I 4'
_cell_length_a 11.576
_cell_length_b 11.576
_cell_length_c 7.589
_cell_angle_alpha 90.00
_cell_angle_beta 90.00
_cell_angle_gamma 90.00
loop_
_atom_site_label
_atom_site_fract_x
_atom_site_fract_y
_atom_site_fract_z
Pr1 0.000 0.000 0.000
Sm1 0.000 0.500 0.250
Sm2 0.114 0.753 0.216
Sc1 0.070 0.202 0.500
```

Principal peaks in the range 5° ≤ 2θ ≤ 70°, by angle:
- 3.795 Å, I 34, (0 0 2)
- 3.661 Å, I 74, (1 3 0)
- 2.634 Å, I 100, (1 3 2)
- 2.588 Å, I 57, (2 4 0)
- 2.272 Å, I 34, (5 1 0)
- 2.138 Å, I 28, (4 2 2)



Entry 8:
Structure and computed powder X-ray diffraction pattern of PrNd4Tm15 (a DFT-relaxed cell (GGA-PBE, Alexandria); Cu Ka).
No peak broadening, texture or thermal motion is included.

Crystal structure
```
data_PrNd4Tm15
_space_group_name_H-M_alt 'P 4/m m m'
_space_group_IT_number 123
_space_group_name_Hall '-P 4 2'
_cell_length_a 5.011
_cell_length_b 5.011
_cell_length_c 24.920
_cell_angle_alpha 90.00
_cell_angle_beta 90.00
_cell_angle_gamma 90.00
loop_
_atom_site_label
_atom_site_fract_x
_atom_site_fract_y
_atom_site_fract_z
Pr1 0.000 0.000 0.000
Nd1 0.000 0.000 0.200
Nd2 0.000 0.000 0.400
Tm1 0.000 0.500 0.100
Tm2 0.000 0.500 0.300
Tm3 0.000 0.500 0.500
Tm4 0.500 0.500 0.000
Tm5 0.500 0.500 0.200
Tm6 0.500 0.500 0.400
```

Principal peaks in the range 5° ≤ 2θ ≤ 70°, by angle:
- 2.888 Å, I 100, (1 1 5)
- 2.505 Å, I 34, (2 0 0)
- 2.492 Å, I 17, (0 0 10)
- 1.767 Å, I 24, (2 0 10)
- 1.510 Å, I 29, (3 1 5)
- 1.504 Å, I 14, (1 1 15)



Entry 9:
Structure and computed powder X-ray diffraction pattern of Ho4SiCl5 (a DFT-relaxed cell (GGA-PBE, Alexandria); Cu Ka).
No peak broadening, texture or thermal motion is included.

Crystal structure
```
data_Ho4SiCl5
_space_group_name_H-M_alt 'C 1 2/m 1'
_space_group_IT_number 12
_space_group_name_Hall '-C 2y'
_cell_length_a 17.464
_cell_length_b 3.922
_cell_length_c 8.063
_cell_angle_alpha 90.00
_cell_angle_beta 103.12
_cell_angle_gamma 90.00
loop_
_atom_site_label
_atom_site_fract_x
_atom_site_fract_y
_atom_site_fract_z
Ho1 0.001 0.000 0.230
Ho2 0.154 0.500 0.086
Si1 0.000 0.500 0.000
Cl1 0.000 0.500 0.500
Cl2 0.166 0.000 0.325
Cl3 0.173 0.000 0.852
```

Principal peaks in the range 5° ≤ 2θ ≤ 70°, by angle:
- 8.504 Å, I 35, (2 0 0)
- 7.852 Å, I 83, (0 0 1)
- 3.225 Å, I 36, (3 1 0)
- 2.835 Å, I 48, (6 0 0)
- 2.811 Å, I 100, (1 1 -2)
- 1.999 Å, I 35, (5 1 2)



Entry 10:
Structure and computed powder X-ray diffraction pattern of GaW (a DFT-relaxed cell (GGA-PBE, Alexandria); Cu Ka).
No peak broadening, texture or thermal motion is included.

Crystal structure
```
data_GaW
_space_group_name_H-M_alt 'P 63/m m c'
_space_group_IT_number 194
_space_group_name_Hall '-P 6c 2c'
_cell_length_a 8.1674
_cell_length_b 8.1674
_cell_length_c 4.4075
_cell_angle_alpha 90.00
_cell_angle_beta 90.00
_cell_angle_gamma 120.00
loop_
_atom_site_label
_atom_site_fract_x
_atom_site_fract_y
_atom_site_fract_z
Ga1 0.2126 0.4251 0.2500
W1 0.1099 0.5549 0.7500
```

Principal peaks in the range 5° ≤ 2θ ≤ 70°, by angle:
- 7.073 Å, I 100, (1 0 0)
- 3.537 Å, I 19, (2 0 0)
- 2.358 Å, I 18, (3 0 0)
- 2.286 Å, I 36, (2 1 1)
- 2.204 Å, I 20, (0 0 2)
- 2.079 Å, I 75, (3 0 1)



Entry 11:
Structure and computed powder X-ray diffraction pattern of Er2Tl5F12 (a DFT-relaxed cell (GGA-PBE, Alexandria); Cu Ka).
No peak broadening, texture or thermal motion is included.

Crystal structure
```
data_Er2Tl5F12
_space_group_name_H-M_alt 'C 1 2/m 1'
_space_group_IT_number 12
_space_group_name_Hall '-C 2y'
_cell_length_a 14.492
_cell_length_b 8.026
_cell_length_c 6.366
_cell_angle_alpha 90.00
_cell_angle_beta 97.54
_cell_angle_gamma 90.00
loop_
_atom_site_label
_atom_site_fract_x
_atom_site_fract_y
_atom_site_fract_z
Er1 0.000 0.240 0.000
Tl1 0.000 0.500 0.500
Tl2 0.141 0.000 0.495
Tl3 0.226 0.500 0.995
F1 0.016 0.000 0.807
F2 0.061 0.500 0.156
F3 0.086 0.306 0.740
F4 0.140 0.197 0.171
```

Principal peaks in the range 5° ≤ 2θ ≤ 70°, by angle:
- 4.013 Å, I 28, (0 2 0)
- 3.638 Å, I 61, (3 1 -1)
- 3.503 Å, I 30, (2 2 0)
- 3.281 Å, I 49, (3 1 1)
- 3.153 Å, I 100, (0 0 2)
- 2.983 Å, I 46, (2 2 1)



Entry 12:
Structure and computed powder X-ray diffraction pattern of CuAg2Cl4 (a DFT-relaxed cell (GGA-PBE, Alexandria); Cu Ka).
No peak broadening, texture or thermal motion is included.

Crystal structure
```
data_CuAg2Cl4
_space_group_name_H-M_alt 'P 41 2 2'
_space_group_IT_number 91
_space_group_name_Hall 'P 4w 2c'
_cell_length_a 8.146
_cell_length_b 8.146
_cell_length_c 9.901
_cell_angle_alpha 90.00
_cell_angle_beta 90.00
_cell_angle_gamma 90.00
loop_
_atom_site_label
_atom_site_fract_x
_atom_site_fract_y
_atom_site_fract_z
Cu1 0.000 0.254 0.000
Ag1 0.251 0.251 0.375
Ag2 0.258 0.500 0.750
Cl1 0.014 0.233 0.770
Cl2 0.229 0.464 0.011
```

Principal peaks in the range 5° ≤ 2θ ≤ 70°, by angle:
- 3.755 Å, I 31, (1 1 2)
- 3.419 Å, I 100, (2 1 1)
- 3.059 Å, I 44, (1 0 3)
- 2.203 Å, I 46, (3 2 1)
- 2.036 Å, I 36, (4 0 0)
- 1.877 Å, I 55, (2 2 4)